(1)
The following is a simulated X-ray diffraction stick pattern of MgTeBr6O6. It was derived from a structure optimized by DFT (GGA-PBE), using copper Kα.
Intensities are scaled so that the largest is 100.

Largest 8 diffraction maxima, in order of falling intensity, 5° ≤ 2θ ≤ 70°:
| 2θ (°) | d_spacing | I_rel |
| --- | --- | --- |
| 30.51 | 2.930 | 100 |
| 19.84 | 4.475 | 89 |
| 36.66 | 2.451 | 62 |
| 28.20 | 3.165 | 48 |
| 40.30 | 2.238 | 45 |
| 42.87 | 2.110 | 34 |
| 13.99 | 6.329 | 27 |
| 44.51 | 2.036 | 24 |

Structure:
abc: 10.962 10.962 10.962
angles: 90.00 90.00 90.00
Positions (direct):
Mg 0.000 0.000 0.000
Mg 0.000 0.500 0.500
Mg 0.500 0.000 0.500
Mg 0.500 0.500 0.000
Te 0.000 0.000 0.500
Te 0.000 0.500 0.000
Te 0.500 0.000 0.000
Te 0.500 0.500 0.500
Br 0.030 0.225 0.652
Br 0.030 0.275 0.152
Br 0.152 0.030 0.275
Br 0.152 0.470 0.775
Br 0.225 0.652 0.030
Br 0.225 0.848 0.530
Br 0.275 0.152 0.030
Br 0.275 0.348 0.530
Br 0.348 0.530 0.275
Br 0.348 0.970 0.775
Br 0.470 0.725 0.652
Br 0.470 0.775 0.152
Br 0.530 0.225 0.848
Br 0.530 0.275 0.348
Br 0.652 0.030 0.225
Br 0.652 0.470 0.725
Br 0.725 0.652 0.470
Br 0.725 0.848 0.970
Br 0.775 0.152 0.470
Br 0.775 0.348 0.970
Br 0.848 0.530 0.225
Br 0.848 0.970 0.725
Br 0.970 0.725 0.848
Br 0.970 0.775 0.348
O 0.062 0.655 0.399
O 0.062 0.845 0.899
O 0.101 0.562 0.655
O 0.101 0.938 0.155
O 0.155 0.101 0.938
O 0.155 0.399 0.438
O 0.345 0.601 0.938
O 0.345 0.899 0.438
O 0.399 0.062 0.655
O 0.399 0.438 0.155
O 0.438 0.155 0.399
O 0.438 0.345 0.899
O 0.562 0.655 0.101
O 0.562 0.845 0.601
O 0.601 0.562 0.845
O 0.601 0.938 0.345
O 0.655 0.101 0.562
O 0.655 0.399 0.062
O 0.845 0.601 0.562
O 0.845 0.899 0.062
O 0.899 0.062 0.845
O 0.899 0.438 0.345
O 0.938 0.155 0.101
O 0.938 0.345 0.601

---

(2)
The following is a simulated X-ray diffraction stick pattern of KAs2Rh2. It was derived from a structure optimized by DFT (GGA-PBE), using copper Kα.
Intensities are scaled so that the largest is 100.

Largest 8 diffraction maxima, in order of falling intensity, 5° ≤ 2θ ≤ 70°:
| 2θ (°) | d_spacing | I_rel |
| --- | --- | --- |
| 13.28 | 6.665 | 100 |
| 41.62 | 2.170 | 50 |
| 29.88 | 2.991 | 45 |
| 34.12 | 2.628 | 42 |
| 44.83 | 2.022 | 35 |
| 52.14 | 1.754 | 35 |
| 46.96 | 1.935 | 17 |
| 54.81 | 1.675 | 15 |

Structure:
abc: 4.044 4.044 13.330
angles: 90.00 90.00 90.00
Positions (direct):
K 0.000 0.000 0.000
K 0.500 0.500 0.500
As 0.000 0.000 0.355
As 0.000 0.000 0.645
As 0.500 0.500 0.145
As 0.500 0.500 0.855
Rh 0.000 0.500 0.250
Rh 0.000 0.500 0.750
Rh 0.500 0.000 0.250
Rh 0.500 0.000 0.750

---

(3)
The following is a simulated X-ray diffraction stick pattern of KGeAuS3. It was derived from a structure optimized by DFT (GGA-PBE), using copper Kα.
Intensities are scaled so that the largest is 100.

Largest 8 diffraction maxima, in order of falling intensity, 5° ≤ 2θ ≤ 70°:
| 2θ (°) | d_spacing | I_rel |
| --- | --- | --- |
| 9.43 | 9.377 | 100 |
| 15.41 | 5.749 | 48 |
| 14.62 | 6.058 | 43 |
| 29.54 | 3.024 | 39 |
| 27.54 | 3.239 | 32 |
| 28.79 | 3.101 | 31 |
| 18.93 | 4.688 | 23 |
| 32.59 | 2.747 | 23 |

Structure:
abc: 10.800 11.499 12.152
angles: 90.00 119.75 90.00
Positions (direct):
K 0.090 0.234 0.124
K 0.090 0.266 0.624
K 0.382 0.734 0.711
K 0.382 0.766 0.211
K 0.618 0.234 0.789
K 0.618 0.266 0.289
K 0.910 0.734 0.376
K 0.910 0.766 0.876
Ge 0.334 0.501 0.418
Ge 0.334 0.999 0.918
Ge 0.335 0.004 0.443
Ge 0.335 0.496 0.943
Ge 0.665 0.504 0.057
Ge 0.665 0.996 0.557
Ge 0.666 0.001 0.082
Ge 0.666 0.499 0.582
Au 0.013 0.589 0.143
Au 0.013 0.911 0.643
Au 0.015 0.581 0.680
Au 0.015 0.919 0.180
Au 0.985 0.081 0.820
Au 0.985 0.419 0.320
Au 0.987 0.089 0.357
Au 0.987 0.411 0.857
S 0.184 0.001 0.995
S 0.184 0.499 0.495
S 0.209 0.659 0.862
S 0.209 0.841 0.362
S 0.214 0.166 0.425
S 0.214 0.334 0.925
S 0.235 0.507 0.207
S 0.235 0.993 0.707
S 0.481 0.028 0.356
S 0.481 0.472 0.856
S 0.500 0.146 0.989
S 0.500 0.354 0.489
S 0.500 0.646 0.511
S 0.500 0.854 0.011
S 0.519 0.528 0.144
S 0.519 0.972 0.644
S 0.765 0.007 0.293
S 0.765 0.493 0.793
S 0.786 0.666 0.075
S 0.786 0.834 0.575
S 0.791 0.159 0.638
S 0.791 0.341 0.138
S 0.816 0.501 0.505
S 0.816 0.999 0.005

---

(4)
The following is a simulated X-ray diffraction stick pattern of LaNi3B. It was derived from a structure optimized by DFT (GGA-PBE), using copper Kα.
Intensities are scaled so that the largest is 100.

Largest 8 diffraction maxima, in order of falling intensity, 5° ≤ 2θ ≤ 70°:
| 2θ (°) | d_spacing | I_rel |
| --- | --- | --- |
| 32.84 | 2.727 | 100 |
| 42.72 | 2.117 | 56 |
| 30.86 | 2.897 | 47 |
| 34.83 | 2.576 | 45 |
| 39.44 | 2.285 | 30 |
| 64.04 | 1.454 | 27 |
| 40.25 | 2.241 | 21 |
| 49.40 | 1.845 | 16 |

Structure:
abc: 9.641 9.641 7.130
angles: 90.00 90.00 118.57
Positions (direct):
La 0.031 0.459 0.250
La 0.035 0.965 0.750
La 0.459 0.031 0.750
La 0.463 0.537 0.250
La 0.537 0.463 0.750
La 0.541 0.969 0.250
La 0.965 0.035 0.250
La 0.969 0.541 0.750
Ni 0.002 0.749 0.073
Ni 0.002 0.749 0.427
Ni 0.248 0.248 0.000
Ni 0.248 0.248 0.500
Ni 0.251 0.498 0.574
Ni 0.251 0.498 0.926
Ni 0.251 0.998 0.073
Ni 0.251 0.998 0.427
Ni 0.255 0.745 0.010
Ni 0.255 0.745 0.490
Ni 0.498 0.251 0.074
Ni 0.498 0.251 0.426
Ni 0.502 0.749 0.574
Ni 0.502 0.749 0.926
Ni 0.745 0.255 0.510
Ni 0.745 0.255 0.990
Ni 0.749 0.002 0.573
Ni 0.749 0.002 0.927
Ni 0.749 0.502 0.074
Ni 0.749 0.502 0.426
Ni 0.752 0.752 0.000
Ni 0.752 0.752 0.500
Ni 0.998 0.251 0.573
Ni 0.998 0.251 0.927
B 0.181 0.314 0.750
B 0.186 0.814 0.250
B 0.314 0.181 0.250
B 0.319 0.681 0.750
B 0.681 0.319 0.250
B 0.686 0.819 0.750
B 0.814 0.186 0.750
B 0.819 0.686 0.250

---

(5)
The following is a simulated X-ray diffraction stick pattern of Rb3CeF6. It was derived from a structure optimized by DFT (GGA-PBE), using copper Kα.
Intensities are scaled so that the largest is 100.

Largest 8 diffraction maxima, in order of falling intensity, 5° ≤ 2θ ≤ 70°:
| 2θ (°) | d_spacing | I_rel |
| --- | --- | --- |
| 25.35 | 3.513 | 100 |
| 44.67 | 2.028 | 42 |
| 36.16 | 2.484 | 40 |
| 52.06 | 1.757 | 26 |
| 58.77 | 1.571 | 20 |
| 65.02 | 1.434 | 8 |
| 17.85 | 4.969 | 8 |
| 15.44 | 5.737 | 8 |

Structure:
abc: 7.027 7.027 7.027
angles: 60.00 60.00 60.00
Positions (direct):
Rb 0.000 0.000 0.000
Rb 0.250 0.250 0.250
Rb 0.750 0.750 0.750
Ce 0.500 0.500 0.500
F 0.270 0.270 0.730
F 0.270 0.730 0.270
F 0.270 0.730 0.730
F 0.730 0.270 0.270
F 0.730 0.270 0.730
F 0.730 0.730 0.270